Record 1
Diffraction record for LiFePO4. The XRD peak list is calculated, not measured: it uses a structure optimized by DFT (PBE+U) and Cu Kα (λ = 1.5418 Å).
Lines closer than 0.1° are merged.

The 8 most intense peaks (2θ = 10–80°), in order of falling intensity:
23.70°, 3.754 Å, rel. 100, (1 0 2); 43.95°, 2.060 Å, rel. 21, (1 1 4); 58.17°, 1.586 Å, rel. 12, (2 0 6); 19.49°, 4.555 Å, rel. 10, (1 0 0); 55.11°, 1.666 Å, rel. 10, (2 1 2); 33.44°, 2.680 Å, rel. 8, (1 0 4); 39.57°, 2.278 Å, rel. 7, (2 0 0); 60.61°, 1.528 Å, rel. 5, (2 1 4)

Crystal structure
```
21
Lattice="5.2600 0.0000 0.0000 -2.6300 4.5553 0.0000 0.0000 0.0000 13.2565" Properties=species:S:1:pos:R:3 pbc="T T T"
Li 0.0000 0.0000 0.0000
Li 0.0000 0.0000 4.4188
Li 0.0000 0.0000 8.8377
Fe -1.3150 2.2776 2.2094
Fe 2.6300 0.0000 6.6283
Fe 1.3150 2.2776 11.0471
P -1.3150 2.2776 8.8377
P 2.6300 0.0000 0.0000
P 1.3150 2.2776 4.4188
O -0.1025 1.8427 9.7041
O -1.0855 3.5452 7.9713
O 0.1025 1.8427 3.5525
O -0.9829 3.7227 0.8664
O 1.6470 0.8325 12.3901
O 1.5445 1.0101 5.2852
O 1.0855 3.5452 5.2852
O 0.9829 3.7227 12.3901
O 3.6129 0.8325 0.8664
O 2.5275 2.7126 3.5525
O 3.7155 1.0101 7.9713
O 2.7325 2.7126 9.7041
```

Record 2
Diffraction record for LiFeP2O7. The XRD peak list is calculated, not measured: it uses a structure optimized by DFT (PBE+U) and Cu Kα (λ = 1.5418 Å).
Lines closer than 0.1° are merged.

The 8 most intense peaks (2θ = 10–80°), in order of falling intensity:
29.26°, 3.052 Å, rel. 100, (1 2 -2); 22.52°, 3.949 Å, rel. 76, (1 1 1); 29.71°, 3.007 Å, rel. 73, (2 1 -2); 28.61°, 3.120 Å, rel. 69, (1 0 2); 23.49°, 3.787 Å, rel. 34, (0 2 1); 20.44°, 4.344 Å, rel. 29, (0 0 2); 14.65°, 6.045 Å, rel. 26, (0 1 1); 34.86°, 2.574 Å, rel. 26, (1 3 0)

Crystal structure
```
44
Lattice="6.9585 0.0000 0.0000 0.0000 8.4161 0.0000 -3.4022 0.0000 8.6890" Properties=species:S:1:pos:R:3 pbc="T T T"
Li 1.0345 0.6388 0.7737
Li -0.6666 3.5693 5.1182
Li 4.2229 4.8468 3.5708
Li 2.5218 7.7774 7.9153
Fe -0.1989 0.5716 6.0197
Fe 1.5022 3.6364 1.6752
Fe 2.0541 4.7797 7.0138
Fe 3.7552 7.8445 2.6693
P -2.0526 6.2026 6.4468
P -0.3515 6.4216 2.1023
P 3.1890 6.0422 0.2604
P 1.4879 6.5820 4.6049
P 2.0684 1.8341 4.0841
P 0.3674 2.3739 8.4286
P 3.9078 1.9945 6.5867
P 5.6089 2.2136 2.2422
O -1.7759 5.1328 5.4298
O -0.0748 7.4914 1.0853
O 0.1677 5.0282 1.7017
O -1.5334 7.5960 6.0462
O -1.5635 2.0522 6.1601
O 0.1376 2.1559 1.8156
O -1.3303 5.8218 7.8520
O 0.3708 6.8024 3.5075
O 0.6831 1.8414 4.7657
O 2.3842 2.3667 0.4212
O 1.2603 5.2040 5.2785
O 2.9614 7.4202 0.9340
O 2.2752 0.6959 3.0805
O 0.5741 3.5122 7.4249
O 2.9822 4.9040 1.2640
O 1.2812 7.7202 5.6085
O 0.5949 0.9959 7.7550
O 2.2960 3.2121 3.4105
O 1.1721 6.0494 8.2678
O 2.8732 6.5748 3.9233
O 3.1856 1.6138 5.1814
O 4.8866 2.5943 0.8369
O 3.4187 6.2602 6.8734
O 5.1198 6.3640 2.5289
O 5.0897 0.8202 2.6428
O 3.3886 3.3879 6.9873
O 3.6311 0.9248 7.6037
O 5.3322 3.2833 3.2592
```

Record 3
Diffraction record for Li2FeP2O7. The XRD peak list is calculated, not measured: it uses a structure optimized by DFT (PBE+U) and Cu Kα (λ = 1.5418 Å).
Lines closer than 0.1° are merged.

The 8 most intense peaks (2θ = 10–80°), in order of falling intensity:
16.90°, 5.248 Å, rel. 100, (0 2 0); 28.41°, 3.141 Å, rel. 61, (1 1 -3); 21.54°, 4.125 Å, rel. 37, (1 0 -2); 28.23°, 3.161 Å, rel. 33, (1 2 0); 28.85°, 3.095 Å, rel. 33, (-1 3 1); 26.13°, 3.410 Å, rel. 21, (1 1 1); 38.96°, 2.312 Å, rel. 18, (1 3 1); 25.01°, 3.560 Å, rel. 14, (0 3 -1)

Crystal structure
```
48
Lattice="5.1087 0.0000 0.0000 -2.3892 10.7534 0.0000 -2.3925 -2.3469 10.4966" Properties=species:S:1:pos:R:3 pbc="T T T"
Li 0.0000 0.0000 0.0000
Li -2.3913 4.2030 5.2509
Li -0.5051 -0.2002 4.0195
Li -2.8954 3.9999 9.2666
Li 2.1820 2.2509 0.3682
Li -0.2060 6.4564 5.6178
Li 1.6766 -0.3329 6.2986
Li 1.6816 6.2139 1.0479
Fe -2.3966 0.2881 9.0120
Fe -2.3953 6.8366 3.7629
Fe 1.6830 1.6887 4.0491
Fe -0.7066 5.8947 9.2985
P -0.8564 2.1995 1.9684
P -3.2472 6.4025 7.2187
P -0.9622 1.4731 6.3289
P -0.9577 8.0230 1.0785
P 0.2495 4.5671 3.4779
P -2.1428 8.7715 8.7268
P 0.1441 2.4279 8.9690
P 0.1453 8.9792 3.7196
O -1.8386 2.3332 5.4213
O -1.8355 8.8824 0.1716
O -1.7464 0.3749 7.0478
O -1.7414 6.9239 1.7975
O -0.0149 1.2067 2.7677
O -2.4054 5.4090 8.0163
O -0.3129 3.7044 2.2214
O -2.7013 7.9063 7.4678
O -0.9662 -1.3892 9.4808
O -0.9610 5.1629 4.2333
O 0.2478 0.8648 5.5844
O 0.2562 7.4183 0.3339
O -0.4014 2.5120 7.4465
O -0.3996 9.0624 2.1973
O -0.6981 1.4327 9.7639
O -0.6974 7.9848 4.5158
O 1.0320 3.6238 4.3927
O -1.3581 7.8318 9.6433
O 1.1220 -0.9087 8.0853
O 1.1283 5.6398 2.8380
O 2.3902 -0.3345 4.2483
O -0.0002 3.8656 9.5004
O 2.7541 2.1603 2.2961
O 0.3625 6.3636 7.5477
O 1.6426 2.0992 8.9359
O 1.6438 8.6491 3.6874
O 2.0042 6.1964 5.6990
O 4.3996 1.9971 0.4489
```

Record 4
Diffraction record for Li3Fe2P3O12. The XRD peak list is calculated, not measured: it uses a structure optimized by DFT (PBE+U) and Cu Kα (λ = 1.5418 Å).
Lines closer than 0.1° are merged.

The 8 most intense peaks (2θ = 10–80°), in order of falling intensity:
24.01°, 3.707 Å, rel. 100, (-2 1 1); 19.81°, 4.482 Å, rel. 96, (-1 1 1); 24.11°, 3.691 Å, rel. 85, (1 -2 2); 14.34°, 6.177 Å, rel. 82, (0 1 0); 31.84°, 2.811 Å, rel. 74, (2 -1 2); 29.05°, 3.074 Å, rel. 62, (2 -2 2); 14.42°, 6.143 Å, rel. 56, (1 -1 1); 19.91°, 4.459 Å, rel. 46, (0 1 -2)

Crystal structure
```
40
Lattice="8.4892 0.0000 0.0000 -4.2380 7.3741 0.0000 -0.0169 -4.8560 7.5107" Properties=species:S:1:pos:R:3 pbc="T T T"
Li -1.0688 2.3880 1.0885
Li 1.6867 -2.7099 4.9930
Li 2.7953 -0.3906 2.3725
Li 1.4389 2.9086 5.1382
Li 2.5475 5.2279 2.5176
Li 5.3031 0.1300 6.4221
Fe 0.0194 0.0768 3.2477
Fe 0.0361 4.9543 0.3088
Fe 4.1982 -2.4362 7.2019
Fe 4.2148 2.4413 4.2630
P -2.9983 4.6286 1.8530
P -1.2334 2.1291 5.6535
P 1.7758 2.5155 1.9210
P 2.4585 0.0026 5.5897
P 5.4677 0.3890 1.8572
P 7.2326 -2.1105 5.6577
O -0.7919 -1.4336 4.3438
O -2.6194 2.7614 5.3954
O 1.0306 -1.2169 1.9902
O -0.4081 -1.6438 6.8743
O -1.4887 4.3301 1.6304
O -1.4215 1.0339 6.7380
O -0.6472 1.5121 4.3714
O 0.5282 1.6014 1.9522
O 1.8542 -0.1082 4.1571
O -0.2512 3.2604 6.0689
O 1.4194 0.6324 6.5425
O 1.3845 3.9675 1.5119
O 2.8497 -1.4495 5.9988
O 2.8149 1.8856 0.9682
O 4.4854 -0.7424 1.4417
O 2.3801 2.6263 3.3536
O 3.7060 0.9166 5.5585
O 4.8815 1.0059 3.1393
O 5.6558 1.4842 0.7726
O 5.7230 -1.8121 5.8803
O 4.6424 4.1618 0.6363
O 3.2037 3.7349 5.5205
O 6.8536 -0.2434 2.1152
O 5.0262 3.9517 3.1668
```

Record 5
Diffraction record for Li3FePO5. The XRD peak list is calculated, not measured: it uses a structure optimized by DFT (PBE+U) and Cu Kα (λ = 1.5418 Å).
Lines closer than 0.1° are merged.

The 8 most intense peaks (2θ = 10–80°), in order of falling intensity:
32.46°, 2.758 Å, rel. 100, (2 0 0); 19.57°, 4.536 Å, rel. 100, (1 2 0); 24.52°, 3.631 Å, rel. 97, (0 3 1); 36.07°, 2.490 Å, rel. 60, (0 0 2); 37.26°, 2.413 Å, rel. 55, (2 0 1); 11.12°, 7.955 Å, rel. 47, (0 2 0); 65.63°, 1.422 Å, rel. 36, (2 0 3); 57.87°, 1.593 Å, rel. 36, (3 5 0)

Crystal structure
```
40
Lattice="5.5221 0.0000 0.0000 0.0000 15.9095 0.0000 0.0000 0.0000 4.9807" Properties=species:S:1:pos:R:3 pbc="T T T"
Li 0.8796 1.4867 4.9787
Li 0.9337 8.0013 0.0000
Li 0.9366 11.0746 4.9117
Li 1.8245 3.1199 2.4213
Li 1.8274 0.0465 2.4904
Li 1.8815 9.4414 2.4883
Li 3.6406 6.4681 4.9787
Li 3.6947 15.8630 0.0000
Li 3.6976 12.7896 4.9117
Li 4.5855 4.8349 2.4213
Li 4.5884 7.9082 2.4904
Li 4.6425 14.4228 2.4883
Fe 0.9329 4.6964 0.0395
Fe 1.8282 12.6511 2.5299
Fe 3.6939 3.2583 0.0395
Fe 4.5892 11.2131 2.5299
P 0.9127 14.3490 4.9452
P 1.8484 6.3942 2.4548
P 3.6737 9.5152 4.9452
P 4.6094 1.5605 2.4548
O 0.5546 1.5563 2.9634
O 0.9327 10.9836 2.9653
O 0.9314 14.4017 3.3748
O 1.0482 7.6232 2.9919
O 1.1344 5.0665 2.9071
O 1.6266 13.0212 0.4167
O 1.7129 15.5779 0.5015
O 1.8283 3.0288 0.4749
O 1.8297 6.4470 0.8845
O 2.2065 9.5111 0.4730
O 3.3156 6.3984 2.9634
O 3.6924 9.4625 3.3748
O 3.6937 12.8806 2.9653
O 3.8092 0.3315 2.9919
O 3.8954 2.8883 2.9071
O 4.3877 10.8430 0.4167
O 4.4739 8.2863 0.5015
O 4.5907 1.5078 0.8845
O 4.5894 4.9259 0.4749
O 4.9675 14.3531 0.4730
```